Structure and calculated XRD peak list of La3Pr3TlGa2 (a DFT-relaxed cell (PBE, Alexandria); Cu Kα (weighted mean of Kα1 and Kα2)).

The 6 most intense peaks (2θ = 10–80°), by angle:
2θ (°)  I/Imax  h k l
28.83  1000  1 1 1
31.40  965  2 0 1
32.61  304  2 1 0
37.13  458  3 0 0
55.11  324  3 0 2
58.96  365  3 2 1

Structural model:
```
data_La3Pr3TlGa2
_cell_length_a 8.3879
_cell_length_b 8.3879
_cell_length_c 4.5937
_cell_angle_alpha 90.00
_cell_angle_beta 90.00
_cell_angle_gamma 120.00
_symmetry_space_group_name_H-M 'P -6 2 m'
_symmetry_Int_Tables_number 189
_symmetry_space_group_name_Hall 'P -6 -2'
loop_
_atom_site_label
_atom_site_type_symbol
_atom_site_fract_x
_atom_site_fract_y
_atom_site_fract_z
La1 La 0.0000 0.7184 0.0000
Pr1 Pr 0.0000 0.4122 0.5000
Tl1 Tl 0.0000 0.0000 0.5000
Ga1 Ga 0.3333 0.6667 0.0000
```